Calculated powder diffraction line list
Compound: CaMg2Ni9
Radiation: Cu Kα (weighted mean of Kα1 and Kα2)
Structure: the GGA-PBE geometry in the Materials Project
Lines closer than 0.1° are merged.

Crystal structure
Lattice parameters (Å, degrees): 8.3362 8.3362 8.3362 33.84 33.84 33.84
Positions (direct):
1 Ca 0.0000 0.0000 0.0000
2 Mg 0.1433 0.1433 0.1433
3 Mg 0.8567 0.8567 0.8567
4 Ni 0.0820 0.5860 0.5860
5 Ni 0.3334 0.3334 0.3334
6 Ni 0.4140 0.4140 0.9180
7 Ni 0.4140 0.9180 0.4140
8 Ni 0.5000 0.5000 0.5000
9 Ni 0.5860 0.0820 0.5860
10 Ni 0.5860 0.5860 0.0820
11 Ni 0.6666 0.6666 0.6666
12 Ni 0.9180 0.4140 0.4140

Main lines, sorted by position (10 to 90 degrees two-theta):
- 2θ = 21.5°, intensity 58
- 2θ = 43.2°, intensity 26
- 2θ = 43.9°, intensity 100
- 2θ = 46.3°, intensity 34
- 2θ = 47.4°, intensity 49
- 2θ = 51.3°, intensity 28

=====

Calculated powder diffraction line list
Compound: CaMg6Ni
Radiation: Cu Kα (weighted mean of Kα1 and Kα2)
Structure: the GGA-PBE geometry in the Materials Project
Lines closer than 0.1° are merged.

Crystal structure
Lattice parameters (Å, degrees): 4.8919 6.6689 6.6689 55.91 90.00 90.00
Positions (direct):
1 Ca 0.0000 0.0000 0.0000
2 Mg 0.0000 0.0142 0.5291
3 Mg 0.0000 0.5291 0.0142
4 Mg 0.0000 0.5345 0.5345
5 Mg 0.5000 0.3747 0.3747
6 Mg 0.5000 0.3932 0.8742
7 Mg 0.5000 0.8742 0.3932
8 Ni 0.5000 0.8268 0.8268

Main lines, sorted by position (10 to 90 degrees two-theta):
- 2θ = 16.0°, intensity 30
- 2θ = 32.4°, intensity 30
- 2θ = 32.6°, intensity 18
- 2θ = 35.6°, intensity 52
- 2θ = 36.7°, intensity 40
- 2θ = 37.4°, intensity 100

=====

Calculated powder diffraction line list
Compound: CaMg6Ni
Radiation: Cu Kα (weighted mean of Kα1 and Kα2)
Structure: the GGA-PBE geometry in the Materials Project
Lines closer than 0.1° are merged.

Crystal structure
Lattice parameters (Å, degrees): 5.0823 6.6781 6.6781 55.07 90.00 90.00
Positions (direct):
1 Ca 0.0000 0.0000 0.0000
2 Mg 0.0000 0.0047 0.4974
3 Mg 0.0000 0.4974 0.0047
4 Mg 0.5000 0.1593 0.6390
5 Mg 0.5000 0.1606 0.1606
6 Mg 0.5000 0.6250 0.6250
7 Mg 0.5000 0.6390 0.1593
8 Ni 0.0000 0.4491 0.4491

Main lines, sorted by position (10 to 90 degrees two-theta):
- 2θ = 15.0°, intensity 20
- 2θ = 32.7°, intensity 27
- 2θ = 35.1°, intensity 48
- 2θ = 35.3°, intensity 42
- 2θ = 37.3°, intensity 100
- 2θ = 64.7°, intensity 18

=====

Calculated powder diffraction line list
Compound: Ca3MgNi14
Radiation: Cu Kα (weighted mean of Kα1 and Kα2)
Structure: the GGA-PBE geometry in the Materials Project
Lines closer than 0.1° are merged.

Crystal structure
Lattice parameters (Å, degrees): 12.2971 12.2971 12.2971 23.40 23.40 23.40
Positions (direct):
1 Ca 0.0000 0.0000 0.0000
2 Ca 0.0979 0.0979 0.0979
3 Ca 0.2023 0.2023 0.2023
4 Mg 0.2982 0.2982 0.2982
5 Ni 0.0414 0.5385 0.5385
6 Ni 0.1492 0.6500 0.6500
7 Ni 0.2592 0.7607 0.7607
8 Ni 0.4277 0.4277 0.4277
9 Ni 0.5379 0.5379 0.5379
10 Ni 0.5385 0.0414 0.5385
11 Ni 0.5385 0.5385 0.0414
12 Ni 0.6494 0.6494 0.6494
13 Ni 0.6500 0.1492 0.6500
14 Ni 0.6500 0.6500 0.1492
15 Ni 0.7607 0.2592 0.7607
16 Ni 0.7607 0.7607 0.2592
17 Ni 0.7611 0.7611 0.7611
18 Ni 0.8719 0.8719 0.8719

Main lines, sorted by position (10 to 90 degrees two-theta):
- 2θ = 20.7°, intensity 44
- 2θ = 41.9°, intensity 24
- 2θ = 42.8°, intensity 100
- 2θ = 45.5°, intensity 41
- 2θ = 46.7°, intensity 37
- 2θ = 49.2°, intensity 23

=====

Calculated powder diffraction line list
Compound: Ca3Mg2Ni13
Radiation: Cu Kα (weighted mean of Kα1 and Kα2)
Structure: the GGA-PBE geometry in the Materials Project
Lines closer than 0.1° are merged.

Crystal structure
Lattice parameters (Å, degrees): 12.3067 12.3067 12.3067 23.08 23.08 23.08
Positions (direct):
1 Ca 0.0000 0.0000 0.0000
2 Ca 0.4574 0.4574 0.4574
3 Ca 0.5426 0.5426 0.5426
4 Mg 0.0927 0.0927 0.0927
5 Mg 0.9073 0.9073 0.9073
6 Ni 0.0000 0.0000 0.5000
7 Ni 0.0000 0.5000 0.0000
8 Ni 0.0527 0.5558 0.5558
9 Ni 0.2226 0.2226 0.2226
10 Ni 0.3340 0.3340 0.3340
11 Ni 0.4442 0.4442 0.9473
12 Ni 0.4442 0.9473 0.4442
13 Ni 0.5000 0.0000 0.0000
14 Ni 0.5558 0.0527 0.5558
15 Ni 0.5558 0.5558 0.0527
16 Ni 0.6660 0.6660 0.6660
17 Ni 0.7774 0.7774 0.7774
18 Ni 0.9473 0.4442 0.4442

Main lines, sorted by position (10 to 90 degrees two-theta):
- 2θ = 21.4°, intensity 45
- 2θ = 42.7°, intensity 30
- 2θ = 43.2°, intensity 100
- 2θ = 45.4°, intensity 32
- 2θ = 46.1°, intensity 49
- 2θ = 77.6°, intensity 24

=====

Calculated powder diffraction line list
Compound: CaMgO3
Radiation: Cu Kα (weighted mean of Kα1 and Kα2)
Structure: the GGA-PBE geometry in the Materials Project
Lines closer than 0.1° are merged.

Crystal structure
Lattice parameters (Å, degrees): 3.9452 3.9452 3.9452 90.00 90.00 90.00
Positions (direct):
1 Ca 0.0000 0.0000 0.0000
2 Mg 0.5000 0.5000 0.5000
3 O 0.0000 0.5000 0.5000
4 O 0.5000 0.0000 0.5000
5 O 0.5000 0.5000 0.0000

Main lines, sorted by position (10 to 90 degrees two-theta):
- 2θ = 32.1°, intensity 100
- 2θ = 39.6°, intensity 59
- 2θ = 46.0°, intensity 86
- 2θ = 57.2°, intensity 38
- 2θ = 67.1°, intensity 45
- 2θ = 76.3°, intensity 16

=====

Calculated powder diffraction line list
Compound: CaMg3O4
Radiation: Cu Kα (weighted mean of Kα1 and Kα2)
Structure: the GGA-PBE geometry in the Materials Project
Lines closer than 0.1° are merged.

Crystal structure
Lattice parameters (Å, degrees): 4.4460 4.4460 4.4460 90.00 90.00 90.00
Positions (direct):
1 Ca 0.0000 0.0000 0.0000
2 Mg 0.0000 0.5000 0.5000
3 Mg 0.5000 0.0000 0.5000
4 Mg 0.5000 0.5000 0.0000
5 O 0.0000 0.0000 0.5000
6 O 0.0000 0.5000 0.0000
7 O 0.5000 0.0000 0.0000
8 O 0.5000 0.5000 0.5000

Main lines, sorted by position (10 to 90 degrees two-theta):
- 2θ = 35.0°, intensity 17
- 2θ = 40.6°, intensity 100
- 2θ = 58.7°, intensity 57
- 2θ = 70.2°, intensity 10
- 2θ = 73.8°, intensity 17
- 2θ = 87.8°, intensity 8

=====

Calculated powder diffraction line list
Compound: Ca2MgReO6
Radiation: Cu Kα (weighted mean of Kα1 and Kα2)
Structure: the GGA-PBE geometry in the Materials Project
Lines closer than 0.1° are merged.

Crystal structure
Lattice parameters (Å, degrees): 5.4604 5.5756 9.4888 90.00 125.13 90.00
Positions (direct):
1 Ca 0.2408 0.0479 0.2490
2 Ca 0.2408 0.4521 0.7490
3 Ca 0.7592 0.5479 0.2510
4 Ca 0.7592 0.9521 0.7510
5 Mg 0.0000 0.0000 0.5000
6 Mg 0.0000 0.5000 0.0000
7 Re 0.5000 0.0000 0.0000
8 Re 0.5000 0.5000 0.5000
9 O 0.1683 0.1963 0.9550
10 O 0.1683 0.3037 0.4550
11 O 0.2620 0.7150 0.9538
12 O 0.2620 0.7850 0.4538
13 O 0.3454 0.0261 0.7581
14 O 0.3454 0.4739 0.2581
15 O 0.6546 0.5261 0.7419
16 O 0.6546 0.9739 0.2419
17 O 0.7380 0.2150 0.5462
18 O 0.7380 0.2850 0.0462
19 O 0.8317 0.6963 0.5450
20 O 0.8317 0.8037 0.0450

Main lines, sorted by position (10 to 90 degrees two-theta):
- 2θ = 19.6°, intensity 70
- 2θ = 19.9°, intensity 67
- 2θ = 22.8°, intensity 42
- 2θ = 32.5°, intensity 100
- 2θ = 38.5°, intensity 38
- 2θ = 58.4°, intensity 36